[1]
The following is a calculated powder XRD pattern of Tb4PrSc5. It was derived from a PBE-relaxed structure, using Cu Kα (weighted mean of Kα1 and Kα2).
Kinematic intensities with the Lorentz-polarization factor, no thermal factor.

Top 10 peaks for 2θ = 10–90°, sorted by position:
- 16.3°, intensity 504, hkl 0 0 2
- 20.5°, intensity 413, hkl 1 -1 1
- 27.0°, intensity 327, hkl -1 1 3
- 31.7°, intensity 379, hkl 0 3 0
- 32.8°, intensity 1000, hkl 2 1 0
- 32.9°, intensity 931, hkl 1 -1 3
- 33.2°, intensity 762, hkl 0 2 3
- 33.3°, intensity 972, hkl 1 2 -3
- 33.6°, intensity 308, hkl 1 -3 0
- 34.4°, intensity 408, hkl -2 1 3

Crystal structure
Cell lengths 6.2343, 8.5245, 11.2992 Å; angles 90.91, 105.28, 95.74 degrees
Space group P-1 (No. 2)
Symmetry-distinct sites (fractional):
1 Tb 0.0670 0.3156 0.3925 x2
2 Tb 0.1006 0.1888 0.9998 x2
3 Tb 0.2698 0.9734 0.5474 x2
4 Tb 0.4288 0.6834 0.0782 x2
5 Pr 0.4065 0.6660 0.3934 x2
6 Sc 0.0116 0.5208 0.8583 x2
7 Sc 0.1212 0.2558 0.6985 x2
8 Sc 0.2529 0.9996 0.2453 x2
9 Sc 0.2953 0.9336 0.8511 x2
10 Sc 0.4757 0.6420 0.7453 x2

***

[2]
The following is a calculated powder XRD pattern of TbPrTm2Sc4. It was derived from a PBE-relaxed structure, using Cu Kα (weighted mean of Kα1 and Kα2).
Kinematic intensities with the Lorentz-polarization factor, no thermal factor.

Top 10 peaks for 2θ = 10–90°, sorted by position:
- 21.1°, intensity 554, hkl 2 2 0
- 28.2°, intensity 452, hkl 0 4 0
- 30.8°, intensity 222, hkl 2 2 -2
- 31.7°, intensity 1000, hkl 4 0 0
- 42.9°, intensity 857, hkl 4 4 0
- 44.8°, intensity 166, hkl 2 2 2
- 56.5°, intensity 125, hkl 4 0 2
- 64.3°, intensity 168, hkl 4 4 2
- 67.9°, intensity 213, hkl 4 8 0
- 73.4°, intensity 113, hkl 0 4 4

Crystal structure
Cell lengths 13.0324, 12.6571, 6.5322 Å; angles 90.00, 120.08, 90.00 degrees
Space group C2/c (No. 15)
Symmetry-distinct sites (fractional):
1 Tb 0.2500 0.2500 0.0000 x4
2 Pr 0.0000 0.0000 0.0000 x4
3 Tm 0.0000 0.5000 0.0000 x4
4 Tm 0.2500 0.2500 0.5000 x4
5 Sc 0.0000 0.2541 0.0007 x8
6 Sc 0.2457 0.4984 0.4946 x8

***

[3]
The following is a calculated powder XRD pattern of TbPrTm3Sc. It was derived from a PBE-relaxed structure, using Cu Kα (weighted mean of Kα1 and Kα2).
Kinematic intensities with the Lorentz-polarization factor, no thermal factor.

Top 10 peaks for 2θ = 10–90°, sorted by position:
- 31.3°, intensity 1000, hkl 1 3 2
- 36.2°, intensity 338, hkl 2 0 0
- 36.3°, intensity 173, hkl 0 6 0
- 52.2°, intensity 240, hkl 2 0 4
- 52.3°, intensity 122, hkl 2 6 0
- 62.1°, intensity 281, hkl 3 3 2
- 62.3°, intensity 137, hkl 1 9 2
- 65.2°, intensity 123, hkl 2 6 4
- 85.4°, intensity 117, hkl 3 3 6
- 85.5°, intensity 58, hkl 3 9 2

Crystal structure
Cell lengths 4.9544, 14.8301, 9.9251 Å; angles 90.00, 90.00, 90.00 degrees
Space group Cmcm (No. 63)
Symmetry-distinct sites (fractional):
1 Tb 0.0000 0.0000 0.0000 x4
2 Pr 0.0000 0.4979 0.2500 x4
3 Tm 0.0000 0.1705 0.2500 x4
4 Tm 0.0000 0.3311 0.9997 x8
5 Sc 0.0000 0.1690 0.7500 x4